[1]
Simulated X-ray powder pattern of La3Tb8Tm for Cu Kα, 1.54184 Å, from a DFT-relaxed cell (GGA-PBE, Alexandria).
Intensities are scaled so that the largest is 100.

```
La3Tb8Tm
1.0
-4.417 4.417 5.675
4.417 -4.417 5.675
4.417 4.417 -5.675
La Tb Tm
3 8 1
direct
0.000 0.000 0.000
0.250 0.750 0.500
0.750 0.250 0.500
0.131 0.131 0.753
0.245 0.732 0.000
0.268 0.268 0.512
0.378 0.378 0.247
0.622 0.869 0.000
0.732 0.245 0.000
0.755 0.755 0.488
0.869 0.622 0.000
0.500 0.500 0.000
```

Principal peaks in the range 10 to 90 degrees two-theta, in order of falling intensity:
2θ (°)	I (rel.)
35.8	100.0
28.6	83.1
44.0	72.9
31.5	72.5
23.9	68.9
32.8	66.6
25.6	55.2
43.1	52.7
14.2	36.9
68.6	31.0
55.5	30.5
59.0	26.1

[2]
Simulated X-ray powder pattern of Ta8Nb3Pd for Cu Kα, 1.54184 Å, from a DFT-relaxed cell (GGA-PBE, Alexandria).
Intensities are scaled so that the largest is 100.

```
Ta8Nb3Pd
1.0
5.484 0.000 0.000
-2.742 4.749 0.000
0.000 0.000 8.596
Ta Nb Pd
8 3 1
direct
0.171 0.342 0.248
0.171 0.829 0.248
0.333 0.667 0.942
0.342 0.171 0.752
0.658 0.829 0.248
0.667 0.333 0.058
0.829 0.171 0.752
0.829 0.658 0.752
0.000 0.000 0.500
0.333 0.667 0.561
0.667 0.333 0.439
0.000 0.000 0.000
```

Principal peaks in the range 10 to 90 degrees two-theta, in order of falling intensity:
2θ (°)	I (rel.)
39.4	100.0
39.0	79.0
36.6	57.6
67.2	32.9
68.4	27.8
60.9	22.2
42.0	20.1
62.5	19.9
43.5	18.6
37.9	16.8
83.7	16.6
20.7	14.6

[3]
Simulated X-ray powder pattern of SrPa4Se8 for Cu Kα, 1.54184 Å, from a DFT-relaxed cell (GGA-PBE, Alexandria).
Intensities are scaled so that the largest is 100.

```
SrPa4Se8
1.0
0.000 6.051 6.051
6.051 0.000 6.051
6.051 6.051 0.000
Sr Pa Se
1 4 8
direct
0.000 0.000 0.000
0.140 0.620 0.620
0.620 0.140 0.620
0.620 0.620 0.140
0.620 0.620 0.620
0.383 0.383 0.383
0.383 0.383 0.850
0.383 0.850 0.383
0.420 0.860 0.860
0.850 0.383 0.383
0.860 0.420 0.860
0.860 0.860 0.420
0.860 0.860 0.860
```

Principal peaks in the range 10 to 90 degrees two-theta, in order of falling intensity:
2θ (°)	I (rel.)
29.5	100.0
12.7	98.7
42.2	92.2
24.4	75.8
38.7	49.7
69.5	29.1
77.2	27.0
44.3	26.1
52.4	24.8
58.6	19.2
54.1	17.7
82.4	17.0

[4]
Simulated X-ray powder pattern of LaGa9Pd2 for Cu Kα, 1.54184 Å, from a DFT-relaxed cell (GGA-PBE, Alexandria).
Intensities are scaled so that the largest is 100.

```
LaGa9Pd2
1.0
-5.316 5.316 3.867
5.316 -5.316 3.867
5.316 5.316 -3.867
La Ga Pd
2 18 4
direct
0.375 0.625 0.750
0.625 0.375 0.250
0.125 0.875 0.250
0.131 0.557 0.332
0.131 0.798 0.574
0.202 0.276 0.332
0.202 0.869 0.926
0.276 0.202 0.832
0.276 0.443 0.074
0.443 0.276 0.574
0.443 0.869 0.168
0.557 0.131 0.832
0.557 0.724 0.426
0.724 0.557 0.926
0.724 0.798 0.168
0.798 0.131 0.074
0.798 0.724 0.668
0.869 0.202 0.426
0.869 0.443 0.668
0.875 0.125 0.750
0.000 0.000 0.000
0.000 0.000 0.500
0.000 0.500 0.000
0.500 0.000 0.500
```

Principal peaks in the range 10 to 90 degrees two-theta, in order of falling intensity:
2θ (°)	I (rel.)
35.4	100.0
44.2	65.2
37.8	59.3
35.8	46.9
32.5	46.4
44.7	45.4
66.7	27.5
39.8	27.3
65.9	18.3
53.3	18.2
80.9	16.3
47.5	14.7

[5]
Simulated X-ray powder pattern of Pr5HoTm3 for Cu Kα, 1.54184 Å, from a DFT-relaxed cell (GGA-PBE, Alexandria).
Intensities are scaled so that the largest is 100.

```
Pr5HoTm3
1.0
10.070 -3.177 0.000
10.070 3.177 0.000
-6.400 0.000 9.859
Pr Ho Tm
10 2 6
direct
0.032 0.689 0.335
0.095 0.905 0.750
0.147 0.492 0.670
0.311 0.968 0.165
0.492 0.147 0.170
0.508 0.853 0.830
0.689 0.032 0.835
0.853 0.508 0.330
0.905 0.095 0.250
0.968 0.311 0.665
0.395 0.605 0.250
0.605 0.395 0.750
0.099 0.552 0.977
0.448 0.901 0.523
0.500 0.500 0.000
0.500 0.500 0.500
0.552 0.099 0.477
0.901 0.448 0.023
```

Principal peaks in the range 10 to 90 degrees two-theta, in order of falling intensity:
2θ (°)	I (rel.)
31.8	100.0
29.2	74.0
28.4	59.8
33.6	59.2
32.8	47.5
29.7	46.9
30.1	45.5
35.4	30.2
54.7	29.6
25.6	28.1
39.4	26.7
33.4	25.7

[6]
Simulated X-ray powder pattern of Pr3NdSm4 for Cu Kα, 1.54184 Å, from a DFT-relaxed cell (GGA-PBE, Alexandria).
Intensities are scaled so that the largest is 100.

```
Pr3NdSm4
1.0
10.384 0.000 0.000
0.000 7.329 0.000
0.000 0.000 7.331
Pr Nd Sm
6 2 8
direct
0.000 0.000 0.000
0.250 0.251 0.250
0.250 0.749 0.750
0.500 0.000 0.500
0.750 0.251 0.250
0.750 0.749 0.750
0.000 0.500 0.500
0.500 0.500 0.000
0.000 0.000 0.500
0.000 0.500 0.000
0.250 0.250 0.750
0.250 0.750 0.250
0.500 0.000 0.000
0.500 0.500 0.500
0.750 0.250 0.750
0.750 0.750 0.250
```

Principal peaks in the range 10 to 90 degrees two-theta, in order of falling intensity:
2θ (°)	I (rel.)
29.8	100.0
34.6	50.7
59.1	43.4
49.7	36.4
80.8	17.6
62.0	12.5
83.4	10.9
83.2	5.5
73.0	3.8
72.9	1.9